Record 1
Theoretical X-ray powder pattern
Compound: VGaBr4
Radiation: a wavelength of 1.5418 Å
Structure: a DFT-relaxed cell (PBE, Alexandria)

Unit cell a=8.2212 b=8.2212 c=8.2212 alpha=124.33 beta=118.28 gamma=87.84
Element x y z (fractional)
V 0.5000 0.0000 0.0000
V 0.5000 0.5000 0.5000
Ga 0.0000 0.0000 0.0000
Ga 0.5000 0.0000 0.5000
Br 0.2861 0.2950 0.5089
Br 0.2861 0.7772 0.9911
Br 0.2871 0.2464 0.0407
Br 0.2943 0.7536 0.5407
Br 0.7057 0.2464 0.4593
Br 0.7129 0.7536 0.9593
Br 0.7139 0.2228 0.0089
Br 0.7139 0.7050 0.4911

Principal peaks in the range 2θ from 15° to 90°, sorted by position:
- 2θ 25.24, I 14
- 2θ 25.94, I 25
- 2θ 27.69, I 27
- 2θ 30.18, I 46
- 2θ 31.52, I 100
- 2θ 39.52, I 17
- 2θ 40.49, I 21
- 2θ 42.89, I 16
- 2θ 44.20, I 56
- 2θ 47.36, I 17
- 2θ 56.14, I 19
- 2θ 57.19, I 16


Record 2
Theoretical X-ray powder pattern
Compound: Sr2PmPb
Radiation: a wavelength of 1.5418 Å
Structure: a DFT-relaxed cell (PBE, Alexandria)

Unit cell a=3.8326 b=3.8326 c=39.5666 alpha=90.00 beta=90.00 gamma=120.00
Element x y z (fractional)
Sr 0.0000 0.0000 0.0861
Sr 0.0000 0.0000 0.9139
Sr 0.3333 0.6667 0.5806
Sr 0.3333 0.6667 0.7528
Sr 0.6667 0.3333 0.2472
Sr 0.6667 0.3333 0.4194
Pm 0.0000 0.0000 0.5000
Pm 0.3333 0.6667 0.1667
Pm 0.6667 0.3333 0.8333
Pb 0.0000 0.0000 0.0000
Pb 0.3333 0.6667 0.6667
Pb 0.6667 0.3333 0.3333

Principal peaks in the range 2θ from 15° to 90°, sorted by position:
- 2θ 27.02, I 73
- 2θ 27.24, I 100
- 2θ 28.36, I 30
- 2θ 32.49, I 27
- 2θ 35.30, I 59
- 2θ 41.99, I 27
- 2θ 47.44, I 33
- 2θ 55.46, I 44
- 2θ 55.57, I 14
- 2θ 58.36, I 15
- 2θ 60.49, I 12
- 2θ 76.17, I 16


Record 3
Theoretical X-ray powder pattern
Compound: Pu3CuPt8
Radiation: a wavelength of 1.5418 Å
Structure: a DFT-relaxed cell (PBE, Alexandria)

Unit cell a=9.3501 b=9.3501 c=9.3501 alpha=33.63 beta=33.63 gamma=33.63
Element x y z (fractional)
Pu 0.0000 0.0000 0.0000
Pu 0.1283 0.1283 0.1283
Pu 0.6160 0.6160 0.6160
Cu 0.4882 0.4882 0.4882
Pt 0.0601 0.0601 0.5618
Pt 0.0601 0.5618 0.0601
Pt 0.0626 0.5614 0.5614
Pt 0.3111 0.3111 0.3111
Pt 0.5614 0.0626 0.5614
Pt 0.5614 0.5614 0.0626
Pt 0.5618 0.0601 0.0601
Pt 0.8116 0.8116 0.8116

Principal peaks in the range 2θ from 15° to 90°, sorted by position:
- 2θ 20.12, I 7
- 2θ 33.14, I 26
- 2θ 39.08, I 100
- 2θ 40.89, I 41
- 2θ 47.58, I 5
- 2θ 59.18, I 8
- 2θ 63.19, I 30
- 2θ 69.50, I 15
- 2θ 69.63, I 13
- 2θ 82.75, I 9
- 2θ 83.93, I 12
- 2θ 84.08, I 4